# 1
The following is a simulated X-ray powder pattern of Sr2TbCu2Bi2O8. It was derived from a DFT-relaxed cell (GGA-PBE, the Materials Project), using λ = 1.5418 Å (Cu Kα).
Neutral-atom scattering factors, no anomalous dispersion.

The 10 most intense peaks (10 to 90 degrees two-theta), in order of rising 2θ:
2θ (°)	intensity
11.6	22
25.0	40
27.6	43
31.2	100
33.4	87
44.9	36
47.9	41
56.6	18
58.3	36
77.2	19

Crystal structure
```
data_Sr2TbCu2Bi2O8
_chemical_formula_sum 'Sr4 Tb2 Cu4 Bi4 O16'
_cell_length_a 3.799
_cell_length_b 3.799
_cell_length_c 30.611
_cell_angle_alpha 90.00
_cell_angle_beta 90.00
_cell_angle_gamma 90.00
_symmetry_space_group_name_H-M 'I 4/m m m'
_symmetry_Int_Tables_number 139
_symmetry_space_group_name_Hall '-I 4 2'
loop_
_atom_site_label
_atom_site_type_symbol
_atom_site_fract_x
_atom_site_fract_y
_atom_site_fract_z
_atom_site_occupancy
Sr1 Sr 0.000 0.000 0.114 1
Tb1 Tb 0.000 0.000 0.000 1
Cu1 Cu 0.000 0.000 0.447 1
Bi1 Bi 0.000 0.000 0.296 1
O1 O 0.000 0.000 0.202 1
O2 O 0.000 0.000 0.366 1
O3 O 0.000 0.500 0.049 1
```

***

# 2
The following is a simulated X-ray powder pattern of Sm2CuSe2F. It was derived from a DFT-relaxed cell (GGA-PBE, the Materials Project), using λ = 1.5418 Å (Cu Kα).
Neutral-atom scattering factors, no anomalous dispersion.

The 10 most intense peaks (10 to 90 degrees two-theta), in order of rising 2θ:
2θ (°)	intensity
25.5	100
31.6	13
35.7	15
36.4	39
37.2	16
45.7	35
52.5	13
53.1	23
59.2	18
72.1	18

Crystal structure
```
data_Sm2CuSe2F
_chemical_formula_sum 'Sm2 Cu1 Se2 F1'
_cell_length_a 3.489
_cell_length_b 3.489
_cell_length_c 14.490
_cell_angle_alpha 90.00
_cell_angle_beta 90.00
_cell_angle_gamma 90.00
_symmetry_space_group_name_H-M 'P 4/m m m'
_symmetry_Int_Tables_number 123
_symmetry_space_group_name_Hall '-P 4 2'
loop_
_atom_site_label
_atom_site_type_symbol
_atom_site_fract_x
_atom_site_fract_y
_atom_site_fract_z
_atom_site_occupancy
Sm1 Sm 0.000 0.000 0.157 1
Cu1 Cu 0.000 0.000 0.500 1
Se1 Se 0.000 0.000 0.345 1
F1 F 0.000 0.000 0.000 1
```

***

# 3
The following is a simulated X-ray powder pattern of NaBi5O8. It was derived from a DFT-relaxed cell (GGA-PBE, the Materials Project), using λ = 1.5418 Å (Cu Kα).
Neutral-atom scattering factors, no anomalous dispersion.

The 10 most intense peaks (10 to 90 degrees two-theta), in order of rising 2θ:
2θ (°)	intensity
17.4	57
26.2	51
27.3	100
28.3	63
28.6	77
28.7	82
28.8	68
30.9	59
31.0	45
52.2	36

Crystal structure
```
data_NaBi5O8
_chemical_formula_sum 'Na2 Bi10 O16'
_cell_length_a 7.529
_cell_length_b 7.772
_cell_length_c 10.107
_cell_angle_alpha 71.54
_cell_angle_beta 73.73
_cell_angle_gamma 81.30
_symmetry_space_group_name_H-M 'P -1'
_symmetry_Int_Tables_number 2
_symmetry_space_group_name_Hall '-P 1'
loop_
_atom_site_label
_atom_site_type_symbol
_atom_site_fract_x
_atom_site_fract_y
_atom_site_fract_z
_atom_site_occupancy
Na1 Na 0.242 0.416 0.474 1
Bi1 Bi 0.043 0.398 0.179 1
Bi2 Bi 0.049 0.826 0.219 1
Bi3 Bi 0.252 0.937 0.465 1
Bi4 Bi 0.377 0.247 0.841 1
Bi5 Bi 0.451 0.697 0.843 1
O1 O 0.001 0.914 0.411 1
O2 O 0.036 0.549 0.332 1
O3 O 0.048 0.340 0.946 1
O4 O 0.263 0.158 0.708 1
O5 O 0.308 0.204 0.332 1
O6 O 0.328 0.465 0.065 1
O7 O 0.343 0.809 0.286 1
O8 O 0.401 0.534 0.725 1
```

***

# 4
The following is a simulated X-ray powder pattern of Ho2HgO4. It was derived from a DFT-relaxed cell (GGA-PBE, the Materials Project), using λ = 1.5418 Å (Cu Kα).
Neutral-atom scattering factors, no anomalous dispersion.

The 10 most intense peaks (10 to 90 degrees two-theta), in order of rising 2θ:
2θ (°)	intensity
26.3	41
29.5	61
30.0	46
31.1	69
31.5	59
32.7	100
36.1	62
39.4	44
52.0	53
54.1	42

Crystal structure
```
data_Ho2HgO4
_chemical_formula_sum 'Ho8 Hg4 O16'
_cell_length_a 13.656
_cell_length_b 3.617
_cell_length_c 10.118
_cell_angle_alpha 90.00
_cell_angle_beta 122.64
_cell_angle_gamma 90.00
_symmetry_space_group_name_H-M 'C 1 2/m 1'
_symmetry_Int_Tables_number 12
_symmetry_space_group_name_Hall '-C 2y'
loop_
_atom_site_label
_atom_site_type_symbol
_atom_site_fract_x
_atom_site_fract_y
_atom_site_fract_z
_atom_site_occupancy
Ho1 Ho 0.119 0.000 0.463 1
Ho2 Ho 0.159 0.500 0.800 1
Hg1 Hg 0.114 0.500 0.162 1
O1 O 0.035 0.500 0.283 1
O2 O 0.082 0.000 0.653 1
O3 O 0.203 0.500 0.054 1
O4 O 0.232 0.500 0.612 1
```

***

# 5
The following is a simulated X-ray powder pattern of CaInBr3. It was derived from a DFT-relaxed cell (GGA-PBE, the Materials Project), using λ = 1.5418 Å (Cu Kα).
Neutral-atom scattering factors, no anomalous dispersion.

The 10 most intense peaks (10 to 90 degrees two-theta), in order of rising 2θ:
2θ (°)	intensity
20.4	21
27.1	32
27.4	53
27.9	59
29.0	100
29.7	34
32.7	81
41.1	59
42.0	30
50.4	36

Crystal structure
```
data_CaInBr3
_chemical_formula_sum 'Ca4 In4 Br12'
_cell_length_a 4.302
_cell_length_b 14.389
_cell_length_c 10.961
_cell_angle_alpha 90.00
_cell_angle_beta 90.00
_cell_angle_gamma 90.00
_symmetry_space_group_name_H-M 'C m c m'
_symmetry_Int_Tables_number 63
_symmetry_space_group_name_Hall '-C 2c 2'
loop_
_atom_site_label
_atom_site_type_symbol
_atom_site_fract_x
_atom_site_fract_y
_atom_site_fract_z
_atom_site_occupancy
Ca1 Ca 0.000 0.000 0.000 1
In1 In 0.000 0.264 0.250 1
Br1 Br 0.000 0.069 0.750 1
Br2 Br 0.000 0.367 0.547 1
```

***

# 6
The following is a simulated X-ray powder pattern of HCl. It was derived from a DFT-relaxed cell (GGA-PBE, the Materials Project), using λ = 1.5418 Å (Cu Kα).
Neutral-atom scattering factors, no anomalous dispersion.

The 10 most intense peaks (10 to 90 degrees two-theta), in order of rising 2θ:
2θ (°)	intensity
22.7	100
32.4	36
33.4	55
46.4	11
47.2	37
52.3	15
58.4	9
65.4	7
68.4	11
77.7	8

Crystal structure
```
data_HCl
_chemical_formula_sum 'H2 Cl2'
_cell_length_a 5.531
_cell_length_b 5.531
_cell_length_c 3.067
_cell_angle_alpha 90.00
_cell_angle_beta 90.00
_cell_angle_gamma 90.00
_symmetry_space_group_name_H-M 'I 4/m m m'
_symmetry_Int_Tables_number 139
_symmetry_space_group_name_Hall '-I 4 2'
loop_
_atom_site_label
_atom_site_type_symbol
_atom_site_fract_x
_atom_site_fract_y
_atom_site_fract_z
_atom_site_occupancy
H1 H 0.000 0.000 0.000 1
Cl1 Cl 0.000 0.000 0.500 1
```